(1)
# In3HS3
Calculated X-ray diffraction stick pattern, CuKα. Input: a crystal structure in Alexandria, relaxed with PBE.
Lines closer than 0.1° are merged.

Cell and atoms:
```
14
Lattice="4.1292 -7.1482 0.0000 4.1292 7.1482 0.0000 0.0000 0.0000 5.4975" Properties=species:S:1:pos:R:3 pbc="T T T"
In 4.1292 4.5286 4.1231
In 2.2753 1.3095 4.1231
In 2.2753 -1.3095 1.3744
In 5.9830 1.3095 4.1231
In 5.9830 -1.3095 1.3744
In 4.1292 -4.5286 1.3744
H 4.1292 2.3876 4.1231
H 4.1292 -2.3876 1.3744
S 4.1292 4.5461 1.3744
S 2.2610 1.3013 1.3744
S 2.2610 -1.3013 4.1231
S 5.9973 1.3013 1.3744
S 5.9973 -1.3013 4.1231
S 4.1292 -4.5461 4.1231
```

Largest 12 diffraction maxima, by angle, 10 to 80 degrees two-theta:
2theta, d [Å], I (rel.)
20.4, 4.358, 50
21.5, 4.128, 50
24.9, 3.575, 92
29.8, 2.997, 100
32.6, 2.749, 65
33.1, 2.702, 55
39.4, 2.288, 20
41.4, 2.179, 45
43.9, 2.064, 63
47.2, 1.927, 39
55.7, 1.651, 60
74.8, 1.269, 17

(2)
# Ac2Dy3Ho8
Calculated X-ray diffraction stick pattern, CuKα. Input: a crystal structure in Alexandria, relaxed with PBE.
Lines closer than 0.1° are merged.

Cell and atoms:
```
13
Lattice="3.8713 -10.8323 0.0000 3.8713 10.8323 0.0000 0.0000 0.0000 5.4525" Properties=species:S:1:pos:R:3 pbc="T T T"
Ac 3.8713 5.6511 0.0000
Ac 3.8713 -5.6511 0.0000
Dy 0.0000 0.0000 0.0000
Dy 2.2683 0.0000 2.7262
Dy 5.4743 0.0000 2.7262
Ho 3.8713 8.2754 2.7262
Ho 2.2240 2.2205 0.0000
Ho 3.8713 3.2850 2.7262
Ho 2.2240 -2.2205 0.0000
Ho 5.5186 2.2205 0.0000
Ho 3.8713 -3.2850 2.7262
Ho 5.5186 -2.2205 0.0000
Ho 3.8713 -8.2754 2.7262
```

Largest 12 diffraction maxima, by angle, 10 to 80 degrees two-theta:
2theta, d [Å], I (rel.)
24.4, 3.645, 13
28.7, 3.107, 20
29.7, 3.011, 20
32.8, 2.727, 100
33.1, 2.708, 11
41.4, 2.183, 7
47.3, 1.921, 8
52.0, 1.759, 9
58.6, 1.574, 17
59.2, 1.561, 6
62.8, 1.479, 7
68.9, 1.363, 7

(3)
# Dy2Cu3Pd
Calculated X-ray diffraction stick pattern, CuKα. Input: a crystal structure in Alexandria, relaxed with PBE.
Lines closer than 0.1° are merged.

Cell and atoms:
```
6
Lattice="3.5417 0.0000 0.0000 0.0000 4.3155 0.0000 0.0000 0.0000 7.4216" Properties=species:S:1:pos:R:3 pbc="T T T"
Dy 0.0000 0.0000 0.0000
Dy 0.0000 2.1578 3.6772
Cu 1.7708 0.0000 5.0162
Cu 1.7708 2.1578 1.1291
Cu 1.7708 2.1578 6.1343
Pd 1.7708 0.0000 2.4708
```

Largest 12 diffraction maxima, by angle, 10 to 80 degrees two-theta:
2theta, d [Å], I (rel.)
23.9, 3.731, 10
35.0, 2.566, 100
41.9, 2.158, 18
42.1, 2.146, 35
51.6, 1.771, 10
55.7, 1.650, 17
55.9, 1.644, 8
68.6, 1.369, 8
68.7, 1.366, 16
72.0, 1.312, 8
72.3, 1.307, 8
72.4, 1.305, 8

(4)
# Ag4SnHg
Calculated X-ray diffraction stick pattern, CuKα. Input: a crystal structure in Alexandria, relaxed with PBE.
Lines closer than 0.1° are merged.

Cell and atoms:
```
12
Lattice="3.3907 -3.9081 0.0000 3.3907 3.9081 0.0000 -3.3623 0.0000 9.0408" Properties=species:S:1:pos:R:3 pbc="T T T"
Ag 1.7086 1.9045 1.5306
Ag -0.0697 0.0000 2.9530
Ag -0.0679 0.0000 6.0885
Ag 1.7105 1.9045 7.5102
Ag 1.7086 -1.9045 1.5306
Ag 3.4870 0.0000 2.9523
Ag 3.4888 0.0000 6.0879
Ag 1.7105 -1.9045 7.5102
Sn 1.7096 1.8842 4.5204
Sn 1.7096 -1.8842 4.5204
Hg 0.0000 0.0000 0.0000
Hg 3.3907 0.0000 0.0000
```

Largest 12 diffraction maxima, by angle, 10 to 80 degrees two-theta:
2theta, d [Å], I (rel.)
35.0, 2.561, 100
37.7, 2.386, 82
40.0, 2.256, 36
40.1, 2.249, 34
46.5, 1.954, 23
54.1, 1.695, 15
63.0, 1.476, 35
67.7, 1.384, 14
67.9, 1.380, 14
72.7, 1.300, 11
72.9, 1.297, 11
74.0, 1.281, 11

(5)
# La5Sb4Br
Calculated X-ray diffraction stick pattern, CuKα. Input: a crystal structure in Alexandria, relaxed with PBE.
Lines closer than 0.1° are merged.

Cell and atoms:
```
10
Lattice="-2.3021 3.2373 11.4308 2.3021 -3.2373 11.4308 2.3021 3.2373 -11.4308" Properties=species:S:1:pos:R:3 pbc="T T T"
La 0.0000 0.0000 0.0000
La 0.0000 0.0000 4.5712
La 0.0000 0.0000 9.0636
La 0.0000 0.0000 13.7979
La 0.0000 0.0000 18.2904
Sb 2.3021 0.0000 2.2467
Sb 2.3021 0.0000 6.8830
Sb 0.0000 3.2373 4.5478
Sb 0.0000 3.2373 9.1840
Br 0.0000 3.2373 0.0000
```

Largest 12 diffraction maxima, by angle, 10 to 80 degrees two-theta:
2theta, d [Å], I (rel.)
27.5, 3.242, 100
39.1, 2.302, 13
39.3, 2.291, 64
48.5, 1.876, 14
48.8, 1.867, 14
56.8, 1.622, 9
64.0, 1.455, 6
64.3, 1.449, 24
64.4, 1.447, 6
71.0, 1.327, 9
71.2, 1.324, 4
71.4, 1.321, 13

(6)
# Tl3Te2
Calculated X-ray diffraction stick pattern, CuKα. Input: a crystal structure in Alexandria, relaxed with PBE.
Lines closer than 0.1° are merged.

Cell and atoms:
```
10
Lattice="4.2742 2.4677 6.3347 -4.2742 2.4677 6.3347 0.0000 -4.9354 6.3347" Properties=species:S:1:pos:R:3 pbc="T T T"
Tl -3.1200 -0.4686 7.9183
Tl -1.1542 -2.9363 11.0857
Tl 1.9658 -2.4677 7.9183
Tl -1.9658 2.4677 11.0857
Tl 1.1542 2.9363 7.9183
Tl 3.1200 0.4686 11.0857
Te 0.0000 0.0000 2.3484
Te 0.0000 0.0000 7.1536
Te 0.0000 0.0000 11.8504
Te 0.0000 0.0000 16.6556
```

Largest 12 diffraction maxima, by angle, 10 to 80 degrees two-theta:
2theta, d [Å], I (rel.)
15.2, 5.840, 17
25.1, 3.543, 100
28.2, 3.167, 24
30.6, 2.920, 29
32.3, 2.768, 30
36.4, 2.468, 34
37.3, 2.411, 28
40.0, 2.253, 17
46.6, 1.947, 24
48.1, 1.893, 18
57.6, 1.599, 12
63.7, 1.460, 12

Question: Which formula does entry 6 have?
Answer: Tl3Te2